1.
The following is a simulated powder diffraction line list of YEr6Tl4. It was derived from a crystal structure in Alexandria, relaxed with GGA-PBE, using Cu Kα (λ = 1.5418 Å).
No peak broadening, texture or thermal motion is included.

Structural model:
abc: 9.9965 9.9965 3.7110
angles: 90.00 90.00 120.00
Space group P-6m2 (No. 187)
Symmetry-distinct sites (fractional):
Y1 0.0000 0.0000 0.0000 x1
Er1 0.1909 0.3818 0.5000 x3
Er2 0.5394 0.0787 0.0000 x3
Tl1 0.3224 0.1612 0.5000 x3
Tl2 0.3333 0.6667 0.0000 x1

The 10 most intense peaks (15° ≤ 2θ ≤ 90°), sorted by position:
20.5 deg, I = 18, (2 0 0); 26.1 deg, I = 19, (1 0 1); 30.0 deg, I = 42, (1 1 1); 31.0 deg, I = 44, (3 0 0); 31.8 deg, I = 100, (2 0 1); 35.9 deg, I = 92, (2 2 0); 36.6 deg, I = 88, (2 1 1); 49.1 deg, I = 22, (0 0 2); 58.9 deg, I = 25, (5 0 1); 62.3 deg, I = 38, (2 2 2)

2.
The following is a simulated powder diffraction line list of Y6ErTl5. It was derived from a crystal structure in Alexandria, relaxed with GGA-PBE, using Cu Kα (λ = 1.5418 Å).
No peak broadening, texture or thermal motion is included.

Structural model:
abc: 5.021 8.794 15.259
angles: 90.00 90.00 90.00
Space group Immm (No. 71)
Symmetry-distinct sites (fractional):
Y1 0.000 0.226 0.000 x4
Y2 0.000 0.263 0.330 x8
Er1 0.000 0.000 0.500 x2
Tl1 0.000 0.000 0.179 x4
Tl2 0.000 0.500 0.146 x4
Tl3 0.000 0.500 0.500 x2

The 10 most intense peaks (15° ≤ 2θ ≤ 90°), sorted by position:
20.2 deg, I = 11, (0 2 0); 24.9 deg, I = 11, (1 0 3); 32.3 deg, I = 100, (1 2 3); 35.3 deg, I = 17, (0 0 6); 35.8 deg, I = 20, (2 0 0); 41.0 deg, I = 15, (0 4 0); 51.1 deg, I = 12, (2 0 6); 55.6 deg, I = 13, (2 4 0); 61.5 deg, I = 11, (1 2 9); 62.1 deg, I = 15, (3 2 3)

3.
The following is a simulated powder diffraction line list of Y4Er4Tl. It was derived from a crystal structure in Alexandria, relaxed with GGA-PBE, using Cu Kα (λ = 1.5418 Å).
No peak broadening, texture or thermal motion is included.

Structural model:
abc: 10.678 10.678 4.805
angles: 90.00 90.00 90.00
Space group I4/mmm (No. 139)
Symmetry-distinct sites (fractional):
Y1 0.161 0.161 0.000 x8
Er1 0.000 0.339 0.500 x8
Tl1 0.000 0.000 0.500 x2

The 10 most intense peaks (15° ≤ 2θ ≤ 90°), sorted by position:
16.6 deg, I = 7, (2 0 0); 31.3 deg, I = 100, (3 0 1); 35.7 deg, I = 40, (3 3 0); 37.4 deg, I = 15, (0 0 2); 51.3 deg, I = 12, (6 0 0); 52.7 deg, I = 23, (3 3 2); 61.4 deg, I = 28, (6 3 1); 63.7 deg, I = 13, (3 0 3); 65.2 deg, I = 12, (6 0 2); 86.1 deg, I = 11, (6 3 3)

4.
The following is a simulated powder diffraction line list of Y2Er4Tl. It was derived from a crystal structure in Alexandria, relaxed with GGA-PBE, using Cu Kα (λ = 1.5418 Å).
No peak broadening, texture or thermal motion is included.

Structural model:
abc: 5.612 6.714 11.640
angles: 90.00 102.65 90.00
Space group P2_1/m (No. 11)
Symmetry-distinct sites (fractional):
Y1 0.055 0.250 0.479 x2
Y2 0.278 0.750 0.059 x2
Er1 0.164 0.010 0.794 x4
Er2 0.286 0.250 0.093 x2
Er3 0.380 0.750 0.352 x2
Tl1 0.500 0.250 0.362 x2

The 10 most intense peaks (15° ≤ 2θ ≤ 90°), sorted by position:
30.9 deg, I = 38, (0 2 2); 31.3 deg, I = 97, (1 2 -1); 31.5 deg, I = 100, (1 0 3); 31.9 deg, I = 82, (2 0 -1); 32.2 deg, I = 91, (1 0 -4); 33.1 deg, I = 39, (1 2 1); 33.4 deg, I = 45, (1 2 -2); 35.7 deg, I = 46, (0 2 3); 41.7 deg, I = 35, (0 2 4); 64.5 deg, I = 25, (1 4 3)